Calculated XRD peak list
Compound: TbFe6
Radiation: CuKα
Structure: a PBE-relaxed structure
Intensities are scaled so that the largest is 100.

Crystal structure
Cell lengths 7.936, 4.832, 10.076 Å; angles 90.00, 90.00, 90.00 degrees
Atoms (fractional coordinates):
Tb: 0.242 0.250 0.064
Tb: 0.258 0.750 0.564
Tb: 0.742 0.250 0.436
Tb: 0.758 0.750 0.936
Fe: 0.050 0.750 0.095
Fe: 0.064 0.007 0.308
Fe: 0.064 0.493 0.308
Fe: 0.094 0.250 0.515
Fe: 0.146 0.750 0.859
Fe: 0.191 0.250 0.752
Fe: 0.309 0.750 0.252
Fe: 0.354 0.250 0.359
Fe: 0.406 0.750 0.015
Fe: 0.436 0.507 0.808
Fe: 0.436 0.993 0.808
Fe: 0.450 0.250 0.595
Fe: 0.550 0.750 0.405
Fe: 0.564 0.007 0.192
Fe: 0.564 0.493 0.192
Fe: 0.594 0.250 0.985
Fe: 0.646 0.750 0.641
Fe: 0.691 0.250 0.748
Fe: 0.809 0.750 0.248
Fe: 0.854 0.250 0.141
Fe: 0.906 0.750 0.485
Fe: 0.936 0.507 0.692
Fe: 0.936 0.993 0.692
Fe: 0.950 0.250 0.905

Main lines, low angle first (2θ = 10–80°):
- 2.758 Å, 32.47°, I = 17
- 2.416 Å, 37.22°, I = 18
- 2.401 Å, 37.46°, I = 28
- 2.263 Å, 39.84°, I = 100
- 1.947 Å, 46.66°, I = 24
- 1.363 Å, 68.86°, I = 18